1.
YMg9Cd3: theoretical X-ray powder pattern (Cu Kα X-rays), based on a PBE-relaxed structure.
Intensities are scaled so that the largest is 100.

Cell and atoms:
Cell lengths 5.9002, 14.1828, 7.6791 Å; angles 90.00, 111.90, 90.00 degrees
Space group C2/m (No. 12)
Inequivalent atoms, fractional coordinates:
Y: 0.0000 0.0000 0.0000 x2
Mg: 0.0000 0.0000 0.5000 x2
Mg: 0.1041 0.3936 0.2106 x8
Mg: 0.1725 0.1758 0.3477 x8
Cd: 0.0000 0.5000 0.5000 x2
Cd: 0.2500 0.2500 0.0000 x4

The 10 most intense peaks (5 to 70 degrees two-theta), low angle first:
hkl 0 0 1, 12.43 deg, rel. 28; hkl 1 1 -1, 17.49 deg, rel. 23; hkl 0 2 1, 17.65 deg, rel. 67; hkl 0 0 2, 25.00 deg, rel. 29; hkl 0 4 0, 25.12 deg, rel. 30; hkl 2 2 0, 35.14 deg, rel. 54; hkl 2 2 -2, 35.41 deg, rel. 56; hkl 0 4 2, 35.72 deg, rel. 100; hkl 2 4 -1, 39.75 deg, rel. 26; hkl 0 0 4, 51.29 deg, rel. 30

=====

2.
KCr2TeRu: theoretical X-ray powder pattern (Cu Kα X-rays), based on a PBE-relaxed structure.
Intensities are scaled so that the largest is 100.

Cell and atoms:
Cell lengths 5.2246, 5.2246, 6.1932 Å; angles 90.00, 90.00, 90.00 degrees
Space group P4/mmm (No. 123)
Inequivalent atoms, fractional coordinates:
K: 0.0000 0.0000 0.0000 x1
Cr: 0.0000 0.5000 0.5000 x2
Te: 0.0000 0.0000 0.5000 x1
Ru: 0.5000 0.5000 0.0000 x1

The 10 most intense peaks (5 to 70 degrees two-theta), low angle first:
hkl 1 0 1, 22.26 deg, rel. 100; hkl 1 1 0, 24.09 deg, rel. 30; hkl 1 1 1, 28.13 deg, rel. 28; hkl 0 0 2, 28.83 deg, rel. 54; hkl 2 0 0, 34.33 deg, rel. 67; hkl 2 1 1, 41.30 deg, rel. 40; hkl 2 0 2, 45.42 deg, rel. 59; hkl 2 2 0, 49.33 deg, rel. 23; hkl 2 2 2, 58.15 deg, rel. 27; hkl 0 0 4, 59.76 deg, rel. 20